Pm5SmHg3: calculated PXRD pattern (Cu Kα), based on DFT lattice parameters and positions (GGA-PBE).

a b c (Å): 9.321 9.321 7.070
angles (deg): 90.00 90.00 120.00
Positions (direct):
Pm (0.000, 0.334, 0.250)
Pm (0.000, 0.666, 0.750)
Pm (0.333, 0.667, 0.000)
Pm (0.333, 0.667, 0.500)
Pm (0.334, 0.000, 0.250)
Pm (0.334, 0.334, 0.750)
Pm (0.666, 0.000, 0.750)
Pm (0.666, 0.666, 0.250)
Pm (0.667, 0.333, 0.000)
Pm (0.667, 0.333, 0.500)
Sm (0.000, 0.000, 0.000)
Sm (0.000, 0.000, 0.500)
Hg (0.000, 0.332, 0.750)
Hg (0.000, 0.668, 0.250)
Hg (0.332, 0.000, 0.750)
Hg (0.332, 0.332, 0.250)
Hg (0.668, 0.000, 0.250)
Hg (0.668, 0.668, 0.750)

Top 8 peaks for 15 to 90 degrees two-theta, by angle:
2theta  Rel. int.  h k l
31.77  95  1 1 2
33.30  100  3 0 0
42.21  17  3 0 2
46.69  33  2 2 2
58.55  34  4 1 2
59.50  19  3 3 0
62.91  32  3 0 4
82.70  15  3 3 4